Starting from a structure optimized by DFT (GGA-PBE), the powder X-ray diffraction pattern of LaPrSmHg was computed for Cu Kα X-rays.
Kinematic intensities with the Lorentz-polarization factor, no thermal factor.

```
LaPrSmHg
1.0
3.789 0.000 0.000
0.000 3.789 0.000
0.000 0.000 8.847
La Pr Sm Hg
1 1 1 1
direct
0.000 0.000 0.000
0.500 0.500 0.715
0.500 0.500 0.279
0.000 0.000 0.487
```

Top 6 peaks for 10° ≤ 2θ ≤ 90°, low angle first:
31.08°, d = 2.877 Å, intensity 1000
33.45°, d = 2.679 Å, intensity 446
48.03°, d = 1.894 Å, intensity 163
53.74°, d = 1.706 Å, intensity 169
58.32°, d = 1.582 Å, intensity 337
80.08°, d = 1.198 Å, intensity 97

Starting from a structure optimized by DFT (GGA-PBE), the powder X-ray diffraction pattern of SrCd3Au2 was computed for Cu Kα X-rays.
Kinematic intensities with the Lorentz-polarization factor, no thermal factor.

```
SrCd3Au2
1.0
8.660 -2.248 0.000
8.660 2.248 0.000
-4.147 0.000 7.765
Sr Cd Au
2 6 4
direct
0.143 0.143 0.070
0.857 0.857 0.930
0.038 0.038 0.379
0.317 0.317 0.543
0.389 0.389 0.281
0.611 0.611 0.719
0.683 0.683 0.457
0.962 0.962 0.621
0.207 0.207 0.704
0.486 0.486 0.835
0.514 0.514 0.165
0.793 0.793 0.296
```

Top 6 peaks for 10° ≤ 2θ ≤ 90°, low angle first:
32.08°, d = 2.790 Å, intensity 1000
33.96°, d = 2.640 Å, intensity 694
38.91°, d = 2.314 Å, intensity 606
40.10°, d = 2.248 Å, intensity 580
43.12°, d = 2.098 Å, intensity 435
60.34°, d = 1.534 Å, intensity 337

Starting from a structure optimized by DFT (GGA-PBE), the powder X-ray diffraction pattern of Ag3TeS4 was computed for Cu Kα X-rays.
Kinematic intensities with the Lorentz-polarization factor, no thermal factor.

```
Ag3TeS4
1.0
8.502 0.000 0.000
0.000 7.040 0.000
0.000 0.000 6.717
Ag Te S
6 2 8
direct
0.000 0.156 0.000
0.248 0.325 0.497
0.252 0.675 0.997
0.500 0.844 0.500
0.748 0.675 0.997
0.752 0.325 0.497
0.000 0.812 0.510
0.500 0.188 0.010
0.000 0.145 0.618
0.000 0.818 0.145
0.239 0.331 0.119
0.261 0.669 0.619
0.500 0.182 0.645
0.500 0.855 0.118
0.739 0.669 0.619
0.761 0.331 0.119
```

Top 6 peaks for 10° ≤ 2θ ≤ 90°, low angle first:
24.46°, d = 3.639 Å, intensity 489
26.54°, d = 3.359 Å, intensity 586
27.88°, d = 3.200 Å, intensity 1000
28.63°, d = 3.118 Å, intensity 376
44.08°, d = 2.054 Å, intensity 404
47.69°, d = 1.907 Å, intensity 464